[1]
# PrCo2P2
Computed powder X-ray diffraction pattern, Cu Kα X-rays. Input: the GGA-PBE geometry in the Materials Project.

Atomic structure:
Cell lengths 3.845, 3.845, 10.479 Å; angles 90.00, 90.00, 90.00 degrees
Space group I4/mmm (No. 139)
One atom of each set of equivalent atoms:
Pr 0.000 0.000 0.000 x2
Co 0.000 0.500 0.250 x4
P 0.000 0.000 0.358 x4

Largest 6 diffraction maxima, in order of rising 2θ, 10 to 90 degrees two-theta:
2θ = 24.66°, rel. 47
2θ = 34.70°, rel. 74
2θ = 37.26°, rel. 100
2θ = 47.28°, rel. 41
2θ = 59.96°, rel. 29
2θ = 63.29°, rel. 29

=====

[2]
# CeCo4B4
Computed powder X-ray diffraction pattern, Cu Kα X-rays. Input: the GGA-PBE geometry in the Materials Project.

Atomic structure:
Cell lengths 5.044, 5.044, 7.033 Å; angles 90.00, 90.00, 90.00 degrees
Space group P4_2/nmc (No. 137, origin choice 2)
One atom of each set of equivalent atoms:
Ce 0.250 0.750 0.250 x2
Co 0.002 0.750 0.612 x8
B 0.077 0.250 0.092 x8

Largest 6 diffraction maxima, in order of rising 2θ, 10 to 90 degrees two-theta:
2θ = 24.97°, rel. 31
2θ = 35.86°, rel. 32
2θ = 37.90°, rel. 37
2θ = 42.07°, rel. 100
2θ = 42.52°, rel. 61
2θ = 76.01°, rel. 23

=====

[3]
# LiHoPd2
Computed powder X-ray diffraction pattern, Cu Kα X-rays. Input: the GGA-PBE geometry in the Materials Project.

Atomic structure:
Cell lengths 6.629, 6.629, 6.629 Å; angles 90.00, 90.00, 90.00 degrees
Space group Fm-3m (No. 225)
One atom of each set of equivalent atoms:
Li 0.000 0.000 0.000 x4
Ho 0.000 0.000 0.500 x4
Pd 0.250 0.250 0.250 x8

Largest 6 diffraction maxima, in order of rising 2θ, 10 to 90 degrees two-theta:
2θ = 23.24°, rel. 41
2θ = 38.41°, rel. 100
2θ = 45.38°, rel. 21
2θ = 55.44°, rel. 17
2θ = 69.46°, rel. 34
2θ = 82.28°, rel. 11